The following is a calculated powder diffraction line list of NaTl2Pd. It was derived from a PBE-relaxed structure, using Cu Ka.
Neutral-atom scattering factors, no anomalous dispersion.

The 10 most intense peaks (10 to 80 degrees two-theta), in order of rising 2θ:
- 18.0 deg, 4.923 Å, intensity 55
- 21.0 deg, 4.240 Å, intensity 42
- 27.8 deg, 3.213 Å, intensity 43
- 29.8 deg, 2.998 Å, intensity 74
- 33.2 deg, 2.699 Å, intensity 100
- 41.2 deg, 2.192 Å, intensity 59
- 45.2 deg, 2.006 Å, intensity 47
- 46.6 deg, 1.947 Å, intensity 30
- 56.3 deg, 1.633 Å, intensity 25
- 65.6 deg, 1.424 Å, intensity 20

Crystal structure
Cell lengths 8.481, 8.481, 6.046 Å; angles 90.00, 90.00, 90.00 degrees
Sites, in units of the cell vectors:
Na 0.000 0.000 0.000
Na 0.000 0.500 0.250
Na 0.500 0.000 0.750
Na 0.500 0.500 0.500
Tl 0.186 0.250 0.625
Tl 0.250 0.686 0.875
Tl 0.250 0.814 0.375
Tl 0.314 0.250 0.125
Tl 0.686 0.750 0.125
Tl 0.750 0.186 0.375
Tl 0.750 0.314 0.875
Tl 0.814 0.750 0.625
Pd 0.000 0.000 0.500
Pd 0.000 0.500 0.750
Pd 0.500 0.000 0.250
Pd 0.500 0.500 0.000

The following is a calculated powder diffraction line list of NaZr2VPd. It was derived from a PBE-relaxed structure, using Cu Ka.
Neutral-atom scattering factors, no anomalous dispersion.

The 10 most intense peaks (10 to 80 degrees two-theta), in order of rising 2θ:
- 17.8 deg, 4.988 Å, intensity 14
- 32.4 deg, 2.767 Å, intensity 100
- 36.0 deg, 2.494 Å, intensity 49
- 40.4 deg, 2.231 Å, intensity 21
- 51.8 deg, 1.764 Å, intensity 17
- 55.2 deg, 1.663 Å, intensity 28
- 62.4 deg, 1.487 Å, intensity 29
- 67.7 deg, 1.384 Å, intensity 15
- 68.4 deg, 1.371 Å, intensity 11
- 76.4 deg, 1.247 Å, intensity 5

Crystal structure
Cell lengths 4.988, 4.988, 4.463 Å; angles 90.00, 90.00, 90.00 degrees
Sites, in units of the cell vectors:
Na 0.000 0.000 0.000
Zr 0.000 0.500 0.000
Zr 0.500 0.000 0.000
V 0.500 0.500 0.500
Pd 0.000 0.000 0.500

The following is a calculated powder diffraction line list of Na3YPd8. It was derived from a PBE-relaxed structure, using Cu Ka.
Neutral-atom scattering factors, no anomalous dispersion.

The 10 most intense peaks (10 to 80 degrees two-theta), in order of rising 2θ:
- 10.0 deg, 8.810 Å, intensity 5
- 20.2 deg, 4.407 Å, intensity 64
- 33.2 deg, 2.699 Å, intensity 7
- 39.1 deg, 2.301 Å, intensity 100
- 41.0 deg, 2.203 Å, intensity 73
- 47.7 deg, 1.908 Å, intensity 23
- 52.2 deg, 1.751 Å, intensity 15
- 63.3 deg, 1.469 Å, intensity 31
- 69.7 deg, 1.349 Å, intensity 30
- 73.4 deg, 1.290 Å, intensity 11

Crystal structure
Cell lengths 9.345, 9.345, 9.345 Å; angles 33.57, 33.57, 33.57 degrees
Sites, in units of the cell vectors:
Na 0.000 0.000 0.000
Na 0.120 0.120 0.120
Na 0.489 0.489 0.489
Y 0.619 0.619 0.619
Pd 0.053 0.556 0.556
Pd 0.057 0.057 0.560
Pd 0.057 0.560 0.057
Pd 0.307 0.307 0.307
Pd 0.556 0.053 0.556
Pd 0.556 0.556 0.053
Pd 0.560 0.057 0.057
Pd 0.807 0.807 0.807

The following is a calculated powder diffraction line list of Na3ZrPd. It was derived from a PBE-relaxed structure, using Cu Ka.
Neutral-atom scattering factors, no anomalous dispersion.

The 10 most intense peaks (10 to 80 degrees two-theta), in order of rising 2θ:
- 16.8 deg, 5.279 Å, intensity 6
- 23.8 deg, 3.733 Å, intensity 100
- 34.0 deg, 2.640 Å, intensity 48
- 41.9 deg, 2.155 Å, intensity 44
- 48.8 deg, 1.866 Å, intensity 33
- 55.0 deg, 1.669 Å, intensity 19
- 60.8 deg, 1.524 Å, intensity 11
- 66.2 deg, 1.411 Å, intensity 22
- 71.5 deg, 1.320 Å, intensity 5
- 76.6 deg, 1.244 Å, intensity 11

Crystal structure
Cell lengths 5.279, 5.279, 5.279 Å; angles 90.00, 90.00, 90.00 degrees
Sites, in units of the cell vectors:
Na 0.000 0.000 0.500
Na 0.000 0.500 0.000
Na 0.500 0.000 0.000
Zr 0.500 0.500 0.500
Pd 0.000 0.000 0.000

The following is a calculated powder diffraction line list of NaPm. It was derived from a PBE-relaxed structure, using Cu Ka.
Neutral-atom scattering factors, no anomalous dispersion.

The 10 most intense peaks (10 to 80 degrees two-theta), in order of rising 2θ:
- 28.2 deg, 3.159 Å, intensity 23
- 29.0 deg, 3.074 Å, intensity 27
- 29.2 deg, 3.060 Å, intensity 40
- 31.8 deg, 2.810 Å, intensity 100
- 35.9 deg, 2.502 Å, intensity 30
- 41.0 deg, 2.203 Å, intensity 18
- 50.0 deg, 1.824 Å, intensity 19
- 53.3 deg, 1.719 Å, intensity 22
- 58.9 deg, 1.568 Å, intensity 28
- 60.5 deg, 1.530 Å, intensity 16

Crystal structure
Cell lengths 3.648, 3.648, 12.296 Å; angles 90.00, 90.00, 120.00 degrees
Sites, in units of the cell vectors:
Na 0.333 0.667 0.129
Na 0.667 0.333 0.871
Pm 0.333 0.667 0.616
Pm 0.667 0.333 0.384

The following is a calculated powder diffraction line list of NaPm2Si3Pt4. It was derived from a PBE-relaxed structure, using Cu Ka.
Neutral-atom scattering factors, no anomalous dispersion.

The 10 most intense peaks (10 to 80 degrees two-theta), in order of rising 2θ:
- 26.1 deg, 3.411 Å, intensity 28
- 27.2 deg, 3.276 Å, intensity 29
- 30.9 deg, 2.893 Å, intensity 52
- 33.6 deg, 2.664 Å, intensity 38
- 34.5 deg, 2.598 Å, intensity 100
- 42.4 deg, 2.133 Å, intensity 58
- 49.4 deg, 1.845 Å, intensity 27
- 50.5 deg, 1.808 Å, intensity 20
- 67.1 deg, 1.395 Å, intensity 22
- 72.5 deg, 1.304 Å, intensity 23

Crystal structure
Cell lengths 4.266, 4.266, 10.233 Å; angles 90.00, 90.00, 90.00 degrees
Sites, in units of the cell vectors:
Na 0.000 0.000 0.000
Pm 0.000 0.500 0.746
Pm 0.500 0.000 0.254
Si 0.000 0.500 0.375
Si 0.500 0.000 0.625
Si 0.500 0.500 0.000
Pt 0.000 0.000 0.500
Pt 0.000 0.500 0.144
Pt 0.500 0.000 0.856
Pt 0.500 0.500 0.500

The following is a calculated powder diffraction line list of NaPm5S6. It was derived from a PBE-relaxed structure, using Cu Ka.
Neutral-atom scattering factors, no anomalous dispersion.

The 10 most intense peaks (10 to 80 degrees two-theta), in order of rising 2θ:
- 27.1 deg, 3.294 Å, intensity 64
- 31.4 deg, 2.852 Å, intensity 100
- 44.9 deg, 2.017 Å, intensity 72
- 53.3 deg, 1.720 Å, intensity 24
- 55.9 deg, 1.646 Å, intensity 19
- 65.4 deg, 1.426 Å, intensity 11
- 72.1 deg, 1.310 Å, intensity 7
- 72.2 deg, 1.308 Å, intensity 7
- 74.3 deg, 1.276 Å, intensity 21
- 74.4 deg, 1.275 Å, intensity 10

Crystal structure
Cell lengths 6.980, 6.980, 6.997 Å; angles 99.59, 99.59, 119.97 degrees
Sites, in units of the cell vectors:
Na 0.000 0.000 0.000
Pm 0.164 0.836 0.500
Pm 0.334 0.666 0.000
Pm 0.500 0.500 0.500
Pm 0.666 0.334 0.000
Pm 0.836 0.164 0.500
S 0.083 0.415 0.250
S 0.248 0.248 0.754
S 0.415 0.083 0.250
S 0.585 0.917 0.750
S 0.752 0.752 0.246
S 0.917 0.585 0.750

The following is a calculated powder diffraction line list of Na4Pm3SnS8. It was derived from a PBE-relaxed structure, using Cu Ka.
Neutral-atom scattering factors, no anomalous dispersion.

The 10 most intense peaks (10 to 80 degrees two-theta), in order of rising 2θ:
- 13.2 deg, 6.692 Å, intensity 72
- 25.7 deg, 3.472 Å, intensity 38
- 26.8 deg, 3.326 Å, intensity 25
- 31.0 deg, 2.884 Å, intensity 100
- 33.8 deg, 2.649 Å, intensity 15
- 40.6 deg, 2.225 Å, intensity 16
- 44.3 deg, 2.044 Å, intensity 35
- 44.5 deg, 2.035 Å, intensity 36
- 46.7 deg, 1.947 Å, intensity 19
- 55.2 deg, 1.663 Å, intensity 18

Crystal structure
Cell lengths 8.177, 8.177, 8.177 Å; angles 59.70, 59.70, 59.70 degrees
Sites, in units of the cell vectors:
Na 0.000 0.000 0.000
Na 0.000 0.500 0.500
Na 0.500 0.000 0.500
Na 0.500 0.500 0.000
Pm 0.000 0.000 0.500
Pm 0.000 0.500 0.000
Pm 0.500 0.000 0.000
Sn 0.500 0.500 0.500
S 0.244 0.244 0.244
S 0.250 0.739 0.739
S 0.261 0.261 0.750
S 0.261 0.750 0.261
S 0.739 0.250 0.739
S 0.739 0.739 0.250
S 0.750 0.261 0.261
S 0.756 0.756 0.756

The following is a calculated powder diffraction line list of NaPmSb2. It was derived from a PBE-relaxed structure, using Cu Ka.
Neutral-atom scattering factors, no anomalous dispersion.

The 10 most intense peaks (10 to 80 degrees two-theta), in order of rising 2θ:
- 13.6 deg, 6.528 Å, intensity 26
- 16.1 deg, 5.516 Å, intensity 25
- 31.9 deg, 2.809 Å, intensity 64
- 32.0 deg, 2.797 Å, intensity 59
- 32.5 deg, 2.758 Å, intensity 52
- 33.0 deg, 2.715 Å, intensity 100
- 39.6 deg, 2.273 Å, intensity 33
- 40.0 deg, 2.255 Å, intensity 32
- 52.4 deg, 1.746 Å, intensity 29
- 58.3 deg, 1.584 Å, intensity 30

Crystal structure
Cell lengths 6.238, 11.032, 6.528 Å; angles 90.00, 90.00, 90.00 degrees
Sites, in units of the cell vectors:
Na 0.250 0.000 0.000
Na 0.250 0.500 0.000
Na 0.750 0.000 0.000
Na 0.750 0.500 0.000
Pm 0.000 0.250 0.322
Pm 0.000 0.750 0.678
Pm 0.500 0.250 0.678
Pm 0.500 0.750 0.322
Sb 0.000 0.250 0.828
Sb 0.000 0.750 0.172
Sb 0.250 0.000 0.500
Sb 0.250 0.500 0.500
Sb 0.500 0.250 0.172
Sb 0.500 0.750 0.828
Sb 0.750 0.000 0.500
Sb 0.750 0.500 0.500

The following is a calculated powder diffraction line list of Na2PmScSe4. It was derived from a PBE-relaxed structure, using Cu Ka.
Neutral-atom scattering factors, no anomalous dispersion.

The 10 most intense peaks (10 to 80 degrees two-theta), in order of rising 2θ:
- 12.7 deg, 6.997 Å, intensity 32
- 25.4 deg, 3.504 Å, intensity 9
- 30.4 deg, 2.943 Å, intensity 100
- 39.3 deg, 2.292 Å, intensity 10
- 42.8 deg, 2.111 Å, intensity 36
- 44.1 deg, 2.052 Å, intensity 35
- 54.5 deg, 1.683 Å, intensity 24
- 63.2 deg, 1.471 Å, intensity 11
- 70.8 deg, 1.331 Å, intensity 14
- 72.7 deg, 1.301 Å, intensity 17

Crystal structure
Cell lengths 7.109, 4.104, 7.387 Å; angles 90.00, 108.71, 90.00 degrees
Sites, in units of the cell vectors:
Na 0.000 0.000 0.000
Na 0.500 0.500 0.000
Pm 0.000 0.500 0.500
Sc 0.500 0.000 0.500
Se 0.261 0.000 0.730
Se 0.275 0.500 0.278
Se 0.725 0.500 0.722
Se 0.739 0.000 0.270

The following is a calculated powder diffraction line list of Na3PmSc2Se6. It was derived from a PBE-relaxed structure, using Cu Ka.
Neutral-atom scattering factors, no anomalous dispersion.

The 10 most intense peaks (10 to 80 degrees two-theta), in order of rising 2θ:
- 12.7 deg, 6.985 Å, intensity 27
- 25.8 deg, 3.457 Å, intensity 7
- 30.7 deg, 2.915 Å, intensity 100
- 43.1 deg, 2.100 Å, intensity 24
- 43.2 deg, 2.096 Å, intensity 11
- 44.8 deg, 2.025 Å, intensity 33
- 55.2 deg, 1.664 Å, intensity 12
- 63.9 deg, 1.457 Å, intensity 10
- 71.3 deg, 1.323 Å, intensity 9
- 73.7 deg, 1.285 Å, intensity 13

Crystal structure
Cell lengths 7.017, 7.017, 7.371 Å; angles 99.18, 99.18, 120.04 degrees
Sites, in units of the cell vectors:
Na 0.000 0.000 0.000
Na 0.337 0.663 0.000
Na 0.663 0.337 0.000
Pm 0.500 0.500 0.500
Sc 0.167 0.833 0.500
Sc 0.833 0.167 0.500
Se 0.073 0.425 0.277
Se 0.223 0.223 0.724
Se 0.425 0.073 0.277
Se 0.575 0.927 0.723
Se 0.777 0.777 0.276
Se 0.927 0.575 0.723

The following is a calculated powder diffraction line list of NaPm4Se6. It was derived from a PBE-relaxed structure, using Cu Ka.
Neutral-atom scattering factors, no anomalous dispersion.

The 10 most intense peaks (10 to 80 degrees two-theta), in order of rising 2θ:
- 21.6 deg, 4.114 Å, intensity 32
- 26.3 deg, 3.386 Å, intensity 37
- 26.5 deg, 3.368 Å, intensity 31
- 31.0 deg, 2.886 Å, intensity 44
- 32.4 deg, 2.762 Å, intensity 100
- 34.6 deg, 2.590 Å, intensity 48
- 36.2 deg, 2.484 Å, intensity 83
- 40.8 deg, 2.213 Å, intensity 44
- 46.8 deg, 1.941 Å, intensity 32
- 65.7 deg, 1.421 Å, intensity 32

Crystal structure
Cell lengths 8.230, 8.230, 8.230 Å; angles 90.89, 90.89, 90.89 degrees
Sites, in units of the cell vectors:
Na 0.000 0.000 0.000
Na 0.500 0.500 0.500
Pm 0.140 0.750 0.360
Pm 0.250 0.250 0.250
Pm 0.250 0.640 0.860
Pm 0.360 0.140 0.750
Pm 0.640 0.860 0.250
Pm 0.750 0.360 0.140
Pm 0.750 0.750 0.750
Pm 0.860 0.250 0.640
Se 0.061 0.913 0.679
Se 0.087 0.321 0.939
Se 0.179 0.413 0.561
Se 0.321 0.939 0.087
Se 0.413 0.561 0.179
Se 0.439 0.821 0.587
Se 0.561 0.179 0.413
Se 0.587 0.439 0.821
Se 0.679 0.061 0.913
Se 0.821 0.587 0.439
Se 0.913 0.679 0.061
Se 0.939 0.087 0.321

The following is a calculated powder diffraction line list of NaPm5Se6. It was derived from a PBE-relaxed structure, using Cu Ka.
Neutral-atom scattering factors, no anomalous dispersion.

The 10 most intense peaks (10 to 80 degrees two-theta), in order of rising 2θ:
- 26.0 deg, 3.427 Å, intensity 10
- 30.1 deg, 2.968 Å, intensity 100
- 43.0 deg, 2.101 Å, intensity 37
- 43.2 deg, 2.096 Å, intensity 37
- 53.3 deg, 1.718 Å, intensity 7
- 53.5 deg, 1.712 Å, intensity 20
- 62.6 deg, 1.484 Å, intensity 12
- 70.9 deg, 1.329 Å, intensity 17
- 71.1 deg, 1.326 Å, intensity 17
- 79.1 deg, 1.211 Å, intensity 14

Crystal structure
Cell lengths 7.260, 7.260, 7.286 Å; angles 99.58, 99.58, 119.98 degrees
Sites, in units of the cell vectors:
Na 0.000 0.000 0.000
Pm 0.164 0.836 0.500
Pm 0.335 0.665 0.000
Pm 0.500 0.500 0.500
Pm 0.665 0.335 0.000
Pm 0.836 0.164 0.500
Se 0.083 0.414 0.250
Se 0.247 0.247 0.755
Se 0.414 0.083 0.250
Se 0.586 0.917 0.750
Se 0.753 0.753 0.245
Se 0.917 0.586 0.750

The following is a calculated powder diffraction line list of NaPm2SnSe4. It was derived from a PBE-relaxed structure, using Cu Ka.
Neutral-atom scattering factors, no anomalous dispersion.

The 10 most intense peaks (10 to 80 degrees two-theta), in order of rising 2θ:
- 12.7 deg, 6.963 Å, intensity 22
- 29.6 deg, 3.013 Å, intensity 100
- 29.8 deg, 3.000 Å, intensity 49
- 42.3 deg, 2.138 Å, intensity 19
- 42.5 deg, 2.125 Å, intensity 93
- 52.6 deg, 1.741 Å, intensity 20
- 52.8 deg, 1.733 Å, intensity 20
- 69.9 deg, 1.346 Å, intensity 17
- 70.1 deg, 1.343 Å, intensity 25
- 77.9 deg, 1.226 Å, intensity 19

Crystal structure
Cell lengths 8.504, 8.504, 8.504 Å; angles 120.09, 119.62, 90.26 degrees
Sites, in units of the cell vectors:
Na 0.500 0.000 0.000
Na 0.500 0.500 0.500
Pm 0.000 0.000 0.000
Pm 0.000 0.000 0.500
Pm 0.000 0.500 0.000
Pm 0.500 0.000 0.500
Sn 0.000 0.500 0.500
Sn 0.500 0.500 0.000
Se 0.241 0.248 0.994
Se 0.246 0.752 0.494
Se 0.249 0.245 0.496
Se 0.249 0.753 0.004
Se 0.751 0.247 0.996
Se 0.751 0.755 0.504
Se 0.754 0.248 0.506
Se 0.759 0.752 0.006